(1)
Calculated X-ray powder pattern
Compound: FeSiHgBiPt
Radiation: Cu Kα, 1.54184 Å
Structure: the PBE geometry in Alexandria

Crystal structure
Unit cell a=3.513 b=4.297 c=8.845 alpha=85.37 beta=89.54 gamma=65.90
Element x y z (fractional)
Fe  0.000  0.000  0.000
Si  0.398  0.197  0.152
Hg  0.681  0.629  0.477
Bi  0.689  0.628  0.825
Pt  0.703  0.586  0.168

Principal peaks in the range 10 to 80 degrees two-theta, by angle:
| d/Å | Rel. int. |
| --- | --- |
| 3.908 | 69 |
| 3.204 | 100 |
| 2.938 | 39 |
| 2.450 | 29 |
| 2.258 | 21 |
| 2.212 | 21 |
| 2.196 | 20 |
| 2.137 | 19 |
| 2.093 | 42 |
| 1.757 | 23 |

=====

(2)
Calculated X-ray powder pattern
Compound: TbErSb
Radiation: Cu Kα, 1.54184 Å
Structure: the PBE geometry in Alexandria

Crystal structure
Unit cell a=4.468 b=4.468 c=8.423 alpha=90.00 beta=90.00 gamma=90.00
Element x y z (fractional)
Tb  0.250  0.750  0.000
Tb  0.750  0.250  0.000
Er  0.250  0.250  0.350
Er  0.750  0.750  0.650
Sb  0.250  0.250  0.716
Sb  0.750  0.750  0.284

Principal peaks in the range 10 to 80 degrees two-theta, by angle:
| d/Å | Rel. int. |
| --- | --- |
| 3.064 | 16 |
| 2.958 | 100 |
| 2.808 | 42 |
| 2.527 | 85 |
| 2.234 | 58 |
| 1.748 | 41 |
| 1.580 | 19 |
| 1.393 | 20 |
| 1.377 | 19 |
| 1.339 | 28 |